The following is a calculated X-ray powder pattern of Cu6Ag6Sb4Te12Se. It was derived from a cell relaxed with PBE, using Cu Kα X-rays.
Neutral-atom scattering factors, no anomalous dispersion.

Cell and atoms:
Lattice parameters (Å, degrees): 10.3634 10.3634 10.3634 109.47 109.47 109.47
Fractional coordinates of all 29 atoms:
Cu1 0.0000 0.2014 0.2014
Cu2 0.0000 0.7986 0.7986
Cu3 0.2014 0.0000 0.2014
Cu4 0.2014 0.2014 0.0000
Cu5 0.7986 0.0000 0.7986
Cu6 0.7986 0.7986 0.0000
Ag1 0.2500 0.5000 0.7500
Ag2 0.2500 0.7500 0.5000
Ag3 0.5000 0.2500 0.7500
Ag4 0.5000 0.7500 0.2500
Ag5 0.7500 0.2500 0.5000
Ag6 0.7500 0.5000 0.2500
Sb1 0.0000 0.0000 0.5295
Sb2 0.0000 0.5295 0.0000
Sb3 0.4705 0.4705 0.4705
Sb4 0.5295 0.0000 0.0000
Te1 0.0000 0.2399 0.4581
Te2 0.0000 0.4581 0.2399
Te3 0.2182 0.7601 0.7601
Te4 0.2399 0.0000 0.4581
Te5 0.2399 0.4581 0.0000
Te6 0.4581 0.0000 0.2399
Te7 0.4581 0.2399 0.0000
Te8 0.5419 0.5419 0.7818
Te9 0.5419 0.7818 0.5419
Te10 0.7601 0.2182 0.7601
Te11 0.7601 0.7601 0.2182
Te12 0.7818 0.5419 0.5419
Se1 0.0000 0.0000 0.0000

Principal peaks in the range 2θ from 5° to 70°, sorted by position:
2theta, intensity
25.79, 100
27.90, 20
31.72, 19
38.35, 15
41.32, 19
42.75, 65
46.80, 20
50.60, 28
65.23, 11
67.31, 11



The following is a calculated X-ray powder pattern of Sc2Cu3Ag. It was derived from a cell relaxed with PBE, using Cu Kα X-rays.
Neutral-atom scattering factors, no anomalous dispersion.

Cell and atoms:
Lattice parameters (Å, degrees): 3.3498 3.3498 8.5527 90.00 90.00 90.00
Fractional coordinates of all 6 atoms:
Sc1 0.0000 0.0000 0.0000
Sc2 0.5000 0.5000 0.4788
Cu1 0.0000 0.0000 0.3149
Cu2 0.0000 0.0000 0.6452
Cu3 0.5000 0.5000 0.1638
Ag1 0.5000 0.5000 0.8128

Principal peaks in the range 2θ from 5° to 70°, sorted by position:
2theta, intensity
10.34, 4
20.77, 7
28.62, 10
34.00, 5
37.99, 67
41.60, 100
43.69, 4
54.81, 22
60.80, 2
65.48, 5



The following is a calculated X-ray powder pattern of ScCuAg. It was derived from a cell relaxed with PBE, using Cu Kα X-rays.
Neutral-atom scattering factors, no anomalous dispersion.

Cell and atoms:
Lattice parameters (Å, degrees): 3.4288 3.4288 8.6965 90.00 90.00 90.00
Fractional coordinates of all 6 atoms:
Sc1 0.0000 0.0000 0.0000
Sc2 0.5000 0.5000 0.5000
Cu1 0.0000 0.0000 0.3403
Cu2 0.0000 0.0000 0.6597
Ag1 0.5000 0.5000 0.1775
Ag2 0.5000 0.5000 0.8225

Principal peaks in the range 2θ from 5° to 70°, sorted by position:
2theta, intensity
20.42, 8
25.99, 6
27.97, 10
33.28, 6
37.08, 68
40.76, 100
42.70, 5
53.45, 22
64.27, 5
69.33, 37